This entry pairs a crystal structure of Er3Rh4 with its simulated PXRD pattern. Radiation: Cu Kα (λ = 1.5418 Å). Structure: a cell relaxed with PBE.

Crystal structure
Lattice parameters (Å, degrees): 8.102 8.102 8.102 33.15 33.15 33.15
Fractional coordinates of all 7 atoms:
Er (0.000, 0.000, 0.000)
Er (0.240, 0.240, 0.240)
Er (0.760, 0.760, 0.760)
Rh (0.121, 0.121, 0.121)
Rh (0.375, 0.375, 0.375)
Rh (0.625, 0.625, 0.625)
Rh (0.879, 0.879, 0.879)

Largest 6 diffraction maxima, in order of rising 2θ, 2θ from 10° to 80°:
| Position (°2θ) | I/Imax |
| --- | --- |
| 22.5 | 18 |
| 38.6 | 92 |
| 39.0 | 100 |
| 56.0 | 31 |
| 70.3 | 31 |
| 70.6 | 17 |